Entry 1:
Starting from a structure optimized by DFT (PBE), the powder X-ray diffraction pattern of HfCuGeAs was computed for Cu Kα (weighted mean of Kα1 and Kα2).

Structure:
Unit cell a=3.7329 b=3.7329 c=9.4947 alpha=90.00 beta=90.00 gamma=90.00
Space group P4/nmm (No. 129, origin choice 2)
Inequivalent atoms, fractional coordinates:
Hf  0.2500  0.2500  0.2269 [2 per cell]
Cu  0.2500  0.7500  0.5000 [2 per cell]
Ge  0.2500  0.7500  0.0000 [2 per cell]
As  0.2500  0.2500  0.6802 [2 per cell]

Main lines, in order of rising 2θ (2θ = 5–70°):
2θ (°)	d_spacing	I (rel.)	(hkl)
25.6	3.474	24	1 0 1
30.5	2.934	18	1 0 2
37.2	2.414	17	1 0 3
37.9	2.374	16	0 0 4
39.0	2.307	100	1 1 2
45.3	2.003	15	1 0 4
48.8	1.866	32	2 0 0
54.2	1.693	9	1 0 5
63.4	1.467	14	2 0 4
68.7	1.366	9	2 1 4

---

Entry 2:
Starting from a structure optimized by DFT (PBE), the powder X-ray diffraction pattern of NaNi3 was computed for Cu Kα (weighted mean of Kα1 and Kα2).

Structure:
Unit cell a=3.7032 b=3.7032 c=3.7032 alpha=90.00 beta=90.00 gamma=90.00
Space group Pm-3m (No. 221)
Inequivalent atoms, fractional coordinates:
Na  0.0000  0.0000  0.0000 [1 per cell]
Ni  0.0000  0.5000  0.5000 [3 per cell]

Main lines, in order of rising 2θ (2θ = 5–70°):
2θ (°)	d_spacing	I (rel.)	(hkl)
24.0	3.703	12	1 0 0
34.2	2.619	9	1 1 0
42.3	2.138	100	1 1 1
49.2	1.852	47	2 0 0
55.5	1.656	4	2 1 0
61.3	1.512	3	2 1 1

---

Entry 3:
Starting from a structure optimized by DFT (PBE), the powder X-ray diffraction pattern of FePS3 was computed for Cu Kα (weighted mean of Kα1 and Kα2).

Structure:
Unit cell a=5.8749 b=7.6772 c=10.3332 alpha=90.06 beta=90.00 gamma=105.91
Space group P-1 (No. 2)
Inequivalent atoms, fractional coordinates:
Fe  0.2100  0.0060  0.0679 [2 per cell]
Fe  0.2097  0.0060  0.4322 [2 per cell]
P  0.2137  0.8407  0.7500 [2 per cell]
P  0.3048  0.1385  0.7500 [2 per cell]
S  0.0137  0.7722  0.5839 [2 per cell]
S  0.0138  0.7723  0.9159 [2 per cell]
S  0.0217  0.8109  0.2499 [2 per cell]
S  0.4752  0.2221  0.2501 [2 per cell]
S  0.4894  0.2069  0.5824 [2 per cell]
S  0.4895  0.2070  0.9178 [2 per cell]

Main lines, in order of rising 2θ (2θ = 5–70°):
2θ (°)	d_spacing	I (rel.)	(hkl)
12.0	7.383	100	0 1 0
29.7	3.004	4	0 2 -2
30.4	2.941	11	1 0 3
30.6	2.919	6	2 -1 0
34.3	2.616	16	2 -2 0
34.4	2.607	35	1 1 3
41.9	2.155	6	1 2 -3
44.5	2.036	7	-1 3 3
53.2	1.722	6	0 0 6
53.9	1.702	10	3 -1 3

---

Entry 4:
Starting from a structure optimized by DFT (PBE), the powder X-ray diffraction pattern of YSe2 was computed for Cu Kα (weighted mean of Kα1 and Kα2).

Structure:
Unit cell a=4.0928 b=5.7052 c=13.4201 alpha=90.00 beta=90.00 gamma=90.00
Space group Immm (No. 71)
Inequivalent atoms, fractional coordinates:
Y  0.0000  0.0000  0.1503 [4 per cell]
Se  0.0000  0.2881  0.5000 [4 per cell]
Se  0.0000  0.5000  0.2070 [4 per cell]

Main lines, in order of rising 2θ (2θ = 5–70°):
2θ (°)	d_spacing	I (rel.)	(hkl)
16.9	5.250	21	0 1 1
29.6	3.020	100	1 0 3
34.2	2.625	38	0 2 2
38.1	2.362	33	1 1 4
39.1	2.305	39	1 2 1
44.3	2.046	20	2 0 0
50.2	1.817	14	0 1 7
51.8	1.764	18	1 2 5
57.1	1.614	17	2 2 2
69.1	1.359	11	2 1 7